The following is a theoretical XRD peak list of Sr2Co2SeSO2. It was derived from a DFT-relaxed cell (GGA+U, OQMD), using Cu Kα X-rays.

Structure:
a b c (Å): 3.9914 3.9914 11.4704
angles (deg): 90.00 90.00 120.00
Space group P3m1 (No. 156)
Symmetry-distinct sites (fractional):
Sr  0.0000  0.0000  0.0000
Sr  0.3333  0.6667  0.4868
Co  0.6667  0.3333  0.2588
Co  0.6667  0.3333  0.7699
Se  0.0000  0.0000  0.6894
S  0.3333  0.6667  0.1928
O  0.6667  0.3333  0.4211
O  0.6667  0.3333  0.9328

Most intense lines, 10 to 90 degrees two-theta, low angle first:
- (1 0 1), 26.9°, d 3.310, I = 80.6
- (1 0 2), 30.2°, d 2.961, I = 78.0
- (0 0 4), 31.2°, d 2.868, I = 38.4
- (0 1 3), 35.0°, d 2.564, I = 100.0
- (1 1 0), 45.4°, d 1.996, I = 78.2
- (1 0 6), 54.9°, d 1.673, I = 33.8
- (1 1 4), 56.2°, d 1.638, I = 40.8
- (2 0 3), 58.6°, d 1.575, I = 21.7
- (0 1 7), 62.8°, d 1.481, I = 18.5
- (1 2 3), 77.2°, d 1.236, I = 19.5